1.
Calculated X-ray diffraction stick pattern of LaCeOs for Cu Kα, 1.54184 Å, from a PBE-relaxed structure.
Intensities are scaled so that the largest is 100.

Crystal structure
```
6
Lattice="4.681 0.000 0.000 0.382 4.711 0.000 0.089 0.049 7.194" Properties=species:S:1:pos:R:3 pbc="T T T"
La 1.274 1.186 0.845
La 3.879 3.574 6.349
Ce 1.441 3.629 3.588
Ce 3.712 1.131 3.606
Os 1.639 1.518 5.258
Os 3.514 3.242 1.936
```

Peak list (8 most intense, 10° ≤ 2θ ≤ 80°, sorted by position)
- 28.49°, rel. 100
- 30.67°, rel. 61
- 31.39°, rel. 43
- 31.59°, rel. 39
- 35.77°, rel. 35
- 38.21°, rel. 58
- 38.59°, rel. 59
- 42.17°, rel. 52



2.
Calculated X-ray diffraction stick pattern of Rb2PuAuO6 for Cu Kα, 1.54184 Å, from a PBE-relaxed structure.
Intensities are scaled so that the largest is 100.

Crystal structure
```
10
Lattice="-2.901 2.901 5.149 2.901 -2.901 5.149 2.901 2.901 -5.149" Properties=species:S:1:pos:R:3 pbc="T T T"
Rb 2.901 0.000 2.575
Rb 0.000 2.901 2.575
Pu 0.000 0.000 0.000
Au 0.000 0.000 5.149
O 0.000 0.000 1.871
O 1.482 1.482 0.000
O 1.419 -1.419 5.149
O -1.419 1.419 5.149
O 1.419 1.419 5.149
O 0.000 0.000 8.427
```

Peak list (8 most intense, 10° ≤ 2θ ≤ 80°, sorted by position)
- 17.22°, rel. 21
- 21.66°, rel. 23
- 27.80°, rel. 100
- 30.82°, rel. 37
- 34.85°, rel. 18
- 44.15°, rel. 21
- 47.20°, rel. 21
- 52.98°, rel. 35